No. 1
# Mg6AlCo
Computed X-ray powder pattern, Cu Kα X-rays. Input: the PBE geometry in the Materials Project.
Intensities are scaled so that the largest is 100.

Principal peaks in the range 2θ from 10° to 80°, most intense first:
- d 2.311, 38.97 deg, rel. 100, hkl 1 0 4
- d 2.648, 33.85 deg, rel. 27, hkl 0 2 2
- d 2.369, 37.99 deg, rel. 25, hkl 2 0 0
- d 5.295, 16.74 deg, rel. 20, hkl 0 0 2
- d 1.356, 69.28 deg, rel. 17, hkl 3 0 4
- d 1.766, 51.78 deg, rel. 16, hkl 2 2 2
- d 1.284, 73.80 deg, rel. 11, hkl 2 2 6
- d 1.528, 60.61 deg, rel. 10, hkl 0 2 6
- d 1.276, 74.35 deg, rel. 9, hkl 1 4 4
- d 3.531, 25.22 deg, rel. 7, hkl 1 1 1

Crystal structure
Unit cell a=4.7376 b=6.1224 c=10.5787 alpha=90.00 beta=90.00 gamma=90.00
Space group Amm2 (No. 38)
Inequivalent atoms, fractional coordinates:
1 Mg 0.0000 0.0000 0.0000 [2 per cell]
2 Mg 0.0000 0.2361 0.7446 [4 per cell]
3 Mg 0.5000 0.0000 0.1667 [2 per cell]
4 Mg 0.5000 0.2432 0.4212 [4 per cell]
5 Al 0.0000 0.0000 0.5149 [2 per cell]
6 Co 0.5000 0.0000 0.6498 [2 per cell]

---

No. 2
# La4SnSb2
Computed X-ray powder pattern, Cu Kα X-rays. Input: the PBE geometry in the Materials Project.
Intensities are scaled so that the largest is 100.

Principal peaks in the range 2θ from 10° to 80°, most intense first:
- d 2.596, 34.56 deg, rel. 100, hkl 3 2 1
- d 3.073, 29.06 deg, rel. 98, hkl 3 0 1
- d 3.067, 29.11 deg, rel. 48, hkl 3 1 0
- d 1.574, 58.65 deg, rel. 26, hkl 6 1 1
- d 1.982, 45.77 deg, rel. 25, hkl 2 2 4
- d 1.904, 47.78 deg, rel. 21, hkl 4 1 3
- d 1.500, 61.88 deg, rel. 14, hkl 4 1 5
- d 2.071, 43.72 deg, rel. 14, hkl 3 3 2
- d 1.578, 58.47 deg, rel. 13, hkl 1 1 6
- d 1.534, 60.34 deg, rel. 12, hkl 6 2 0

Crystal structure
Unit cell a=9.6992 b=9.6992 c=9.7379 alpha=90.00 beta=90.00 gamma=90.00
Space group I-42d (No. 122)
Inequivalent atoms, fractional coordinates:
1 La 0.0723 0.1771 0.3024 [16 per cell]
2 Sn 0.0000 0.0000 0.0000 [4 per cell]
3 Sb 0.1247 0.2500 0.6250 [8 per cell]

---

No. 3
# KZrNbBiO6
Computed X-ray powder pattern, Cu Kα X-rays. Input: the PBE geometry in the Materials Project.
Intensities are scaled so that the largest is 100.

Principal peaks in the range 2θ from 10° to 80°, most intense first:
- d 2.925, 30.57 deg, rel. 100, hkl 2 2 0
- d 1.689, 54.33 deg, rel. 40, hkl 4 2 2
- d 4.776, 18.58 deg, rel. 36, hkl 1 1 1
- d 2.068, 43.77 deg, rel. 32, hkl 4 0 0
- d 2.494, 36.01 deg, rel. 22, hkl 3 1 1
- d 1.462, 63.63 deg, rel. 20, hkl 4 4 0
- d 1.308, 72.23 deg, rel. 17, hkl 6 2 0
- d 1.898, 47.93 deg, rel. 10, hkl 3 3 1
- d 1.592, 57.92 deg, rel. 8, hkl 5 1 1
- d 1.398, 66.91 deg, rel. 8, hkl 5 3 1

Crystal structure
Unit cell a=8.2726 b=8.2726 c=8.2726 alpha=90.00 beta=90.00 gamma=90.00
Space group F-43m (No. 216)
Inequivalent atoms, fractional coordinates:
1 K 0.0000 0.0000 0.0000 [4 per cell]
2 Zr 0.2500 0.2500 0.7500 [4 per cell]
3 Nb 0.2500 0.2500 0.2500 [4 per cell]
4 Bi 0.0000 0.0000 0.5000 [4 per cell]
5 O 0.0057 0.2500 0.2500 [24 per cell]

---

No. 4
# Na2Ca5TiSi4O16F2
Computed X-ray powder pattern, Cu Kα X-rays. Input: the PBE geometry in the Materials Project.
Intensities are scaled so that the largest is 100.

Principal peaks in the range 2θ from 10° to 80°, most intense first:
- d 3.072, 29.07 deg, rel. 100, hkl 2 1 -2
- d 2.955, 30.24 deg, rel. 57, hkl 2 1 -3
- d 2.744, 32.63 deg, rel. 42, hkl 0 1 6
- d 3.128, 28.53 deg, rel. 42, hkl 0 0 6
- d 1.855, 49.11 deg, rel. 36, hkl 4 0 -2
- d 5.477, 16.18 deg, rel. 31, hkl 0 1 1
- d 2.041, 44.38 deg, rel. 27, hkl 2 2 -5
- d 1.874, 48.59 deg, rel. 27, hkl 2 1 -9
- d 1.697, 54.02 deg, rel. 26, hkl 2 3 -1
- d 2.831, 31.61 deg, rel. 25, hkl 0 2 1

Crystal structure
Unit cell a=7.4206 b=5.7265 c=19.1293 alpha=90.00 beta=101.11 gamma=90.00
Space group P2_1 (No. 4)
Inequivalent atoms, fractional coordinates:
1 Na 0.0042 0.0000 0.2493 [2 per cell]
2 Na 0.4920 0.9976 0.2440 [2 per cell]
3 Ca 0.1533 0.8472 0.0617 [2 per cell]
4 Ca 0.1592 0.6642 0.5599 [2 per cell]
5 Ca 0.2524 0.9977 0.7497 [2 per cell]
6 Ca 0.3445 0.3447 0.9419 [2 per cell]
7 Ca 0.3469 0.1581 0.4439 [2 per cell]
8 Ti 0.2448 0.5329 0.2406 [2 per cell]
9 Si 0.0397 0.6475 0.3919 [2 per cell]
10 Si 0.1042 0.8489 0.8899 [2 per cell]
11 Si 0.4008 0.1525 0.6115 [2 per cell]
12 Si 0.4577 0.3532 0.1081 [2 per cell]
13 O 0.0199 0.3685 0.1909 [2 per cell]
14 O 0.0858 0.6010 0.9281 [2 per cell]
15 O 0.0865 0.0683 0.9415 [2 per cell]
16 O 0.0872 0.6262 0.3113 [2 per cell]
17 O 0.0954 0.8937 0.4318 [2 per cell]
18 O 0.1055 0.4283 0.4444 [2 per cell]
19 O 0.1894 0.1308 0.6298 [2 per cell]
20 O 0.2175 0.7901 0.1907 [2 per cell]
21 O 0.2617 0.2382 0.3157 [2 per cell]
22 O 0.3131 0.8619 0.8692 [2 per cell]
23 O 0.3942 0.5787 0.0582 [2 per cell]
24 O 0.4018 0.1125 0.0653 [2 per cell]
25 O 0.4090 0.3608 0.1889 [2 per cell]
26 O 0.4170 0.4016 0.5732 [2 per cell]
27 O 0.4184 0.9353 0.5589 [2 per cell]
28 O 0.4780 0.6361 0.3071 [2 per cell]
29 F 0.2245 0.6603 0.6885 [2 per cell]
30 F 0.2824 0.3336 0.8132 [2 per cell]

---

No. 5
# Te3W2Se
Computed X-ray powder pattern, Cu Kα X-rays. Input: the PBE geometry in the Materials Project.
Intensities are scaled so that the largest is 100.

Principal peaks in the range 2θ from 10° to 80°, most intense first:
- d 7.940, 11.14 deg, rel. 100, hkl 0 0 5
- d 2.585, 34.70 deg, rel. 89, hkl 1 0 8
- d 2.151, 42.01 deg, rel. 56, hkl 0 1 13
- d 3.027, 29.51 deg, rel. 43, hkl 1 0 0
- d 1.748, 52.33 deg, rel. 35, hkl 1 1 0
- d 2.070, 43.73 deg, rel. 18, hkl 1 0 14
- d 1.284, 73.82 deg, rel. 17, hkl 1 1 21
- d 6.617, 13.38 deg, rel. 15, hkl 0 0 6
- d 1.449, 64.31 deg, rel. 15, hkl 0 2 8
- d 2.830, 31.62 deg, rel. 14, hkl 1 0 5

Crystal structure
Unit cell a=3.4975 b=3.4975 c=39.6992 alpha=90.00 beta=90.00 gamma=120.00
Space group P3m1 (No. 156)
Inequivalent atoms, fractional coordinates:
1 Te 0.0000 0.0000 0.0000 [1 per cell]
2 Te 0.0000 0.0000 0.0928 [1 per cell]
3 Te 0.0000 0.0000 0.3757 [1 per cell]
4 Te 0.0000 0.0000 0.4686 [1 per cell]
5 Te 0.3333 0.6667 0.1879 [1 per cell]
6 Te 0.3333 0.6667 0.2807 [1 per cell]
7 W 0.0000 0.0000 0.2343 [1 per cell]
8 W 0.0000 0.0000 0.8585 [1 per cell]
9 W 0.3333 0.6667 0.0464 [1 per cell]
10 W 0.3333 0.6667 0.4222 [1 per cell]
11 Se 0.3333 0.6667 0.8177 [1 per cell]
12 Se 0.3333 0.6667 0.8994 [1 per cell]

---

No. 6
# Na3MgTaSiP2O12
Computed X-ray powder pattern, Cu Kα X-rays. Input: the PBE geometry in the Materials Project.
Intensities are scaled so that the largest is 100.

Principal peaks in the range 2θ from 10° to 80°, most intense first:
- d 4.510, 19.69 deg, rel. 100, hkl 1 1 1
- d 6.312, 14.03 deg, rel. 73, hkl 1 1 -1
- d 2.837, 31.54 deg, rel. 46, hkl 0 2 2
- d 2.873, 31.13 deg, rel. 37, hkl 3 1 1
- d 6.452, 13.72 deg, rel. 34, hkl 2 0 0
- d 2.599, 34.51 deg, rel. 32, hkl 3 3 -1
- d 3.156, 28.28 deg, rel. 23, hkl 2 2 -2
- d 2.806, 31.90 deg, rel. 22, hkl 3 1 -3
- d 4.430, 20.05 deg, rel. 20, hkl 2 0 -2
- d 3.690, 24.12 deg, rel. 18, hkl 2 2 0

Crystal structure
Unit cell a=15.6397 b=8.9956 c=8.8590 alpha=90.00 beta=124.40 gamma=90.00
Space group Cc (No. 9)
Inequivalent atoms, fractional coordinates:
1 Na 0.0000 0.0662 0.0000 [4 per cell]
2 Na 0.0695 0.2794 0.6831 [4 per cell]
3 Na 0.3284 0.1090 0.9598 [4 per cell]
4 Mg 0.4202 0.2468 0.7639 [4 per cell]
5 Ta 0.2124 0.2553 0.1394 [4 per cell]
6 Si 0.4646 0.1088 0.4489 [4 per cell]
7 P 0.1725 0.1002 0.4653 [4 per cell]
8 P 0.3165 0.4585 0.9639 [4 per cell]
9 O 0.0636 0.3052 0.9580 [4 per cell]
10 O 0.0732 0.1462 0.4473 [4 per cell]
11 O 0.1722 0.0769 0.9580 [4 per cell]
12 O 0.1737 0.1429 0.2896 [4 per cell]
13 O 0.2292 0.3620 0.9531 [4 per cell]
14 O 0.2544 0.4312 0.2932 [4 per cell]
15 O 0.2701 0.1566 0.6359 [4 per cell]
16 O 0.3528 0.1785 0.2567 [4 per cell]
17 O 0.3780 0.4534 0.6379 [4 per cell]
18 O 0.3869 0.3561 0.9420 [4 per cell]
19 O 0.4625 0.1753 0.6119 [4 per cell]
20 O 0.4678 0.0687 0.9392 [4 per cell]

---

No. 7
# FeCo2N2
Computed X-ray powder pattern, Cu Kα X-rays. Input: the PBE geometry in the Materials Project.
Intensities are scaled so that the largest is 100.

Principal peaks in the range 2θ from 10° to 80°, most intense first:
- d 2.153, 41.97 deg, rel. 100, hkl 2 0 2
- d 2.587, 34.67 deg, rel. 98, hkl 3 1 0
- d 2.283, 39.47 deg, rel. 96, hkl 3 1 1
- d 2.099, 43.09 deg, rel. 86, hkl 0 2 1
- d 3.162, 28.22 deg, rel. 60, hkl 1 1 1
- d 1.915, 47.47 deg, rel. 42, hkl 2 2 1
- d 1.632, 56.39 deg, rel. 41, hkl 5 1 1
- d 4.666, 19.02 deg, rel. 37, hkl 2 0 0
- d 2.426, 37.05 deg, rel. 31, hkl 0 0 2
- d 2.085, 43.41 deg, rel. 28, hkl 2 2 0

Crystal structure
Unit cell a=9.3322 b=4.6605 c=4.8522 alpha=90.00 beta=90.00 gamma=90.00
Space group Cmc2_1 (No. 36)
Inequivalent atoms, fractional coordinates:
1 Fe 0.0000 0.0924 0.0000 [4 per cell]
2 Co 0.1970 0.3268 0.6956 [8 per cell]
3 N 0.1398 0.3304 0.0518 [8 per cell]

---

No. 8
# UGa5Pt
Computed X-ray powder pattern, Cu Kα X-rays. Input: the PBE geometry in the Materials Project.
Intensities are scaled so that the largest is 100.

Principal peaks in the range 2θ from 10° to 80°, most intense first:
- d 2.288, 39.37 deg, rel. 100, hkl 1 1 2
- d 4.357, 20.38 deg, rel. 56, hkl 1 0 0
- d 2.178, 41.45 deg, rel. 48, hkl 2 0 0
- d 2.689, 33.32 deg, rel. 34, hkl 1 0 2
- d 1.278, 74.21 deg, rel. 31, hkl 3 1 2
- d 1.693, 54.18 deg, rel. 18, hkl 2 1 2
- d 1.540, 60.06 deg, rel. 16, hkl 2 2 0
- d 1.948, 46.61 deg, rel. 14, hkl 2 1 0
- d 1.345, 69.97 deg, rel. 13, hkl 2 0 4
- d 2.809, 31.86 deg, rel. 11, hkl 1 1 1

Crystal structure
Unit cell a=4.3569 b=4.3569 c=6.8363 alpha=90.00 beta=90.00 gamma=90.00
Space group P4/mmm (No. 123)
Inequivalent atoms, fractional coordinates:
1 U 0.0000 0.0000 0.0000 [1 per cell]
2 Ga 0.0000 0.5000 0.2935 [4 per cell]
3 Ga 0.5000 0.5000 0.0000 [1 per cell]
4 Pt 0.0000 0.0000 0.5000 [1 per cell]